For Rb2HoNiF6, a DFT-relaxed cell (PBE+U, Alexandria) gives the computed X-ray powder pattern in this record (Cu Kα X-rays).
Peak positions follow from Bragg's law for the DFT cell and can differ from measured ones.

Structure:
Unit cell a=6.585 b=6.585 c=6.585 alpha=125.79 beta=125.79 gamma=80.24
Atoms (fractional coordinates):
Rb (0.250, 0.750, 0.500)
Rb (0.750, 0.250, 0.500)
Ho (0.000, 0.000, 0.000)
Ni (0.500, 0.500, 0.000)
F (0.214, 0.214, 0.000)
F (0.255, 0.255, 0.510)
F (0.255, 0.745, 0.000)
F (0.745, 0.255, 0.000)
F (0.745, 0.745, 0.490)
F (0.786, 0.786, 0.000)

Principal peaks in the range 2θ = 10–80°, by intensity:
d_spacing  intensity
3.245  100
3.000  40
1.776  35
2.122  30
2.518  24
5.155  24
1.622  23
1.929  21
1.561  13
1.257  13